Diffraction record for Ho2B10Ru. The PXRD pattern is simulated, not measured: it uses a GGA-PBE-relaxed structure and copper Kα.

Lattice parameters (Å, degrees): 5.694 11.323 4.161 90.00 90.00 90.00
Positions (direct):
Ho (0.224, 0.130, 0.000)
Ho (0.276, 0.630, 0.000)
Ho (0.724, 0.370, 0.000)
Ho (0.776, 0.870, 0.000)
B (0.058, 0.307, 0.500)
B (0.120, 0.958, 0.500)
B (0.134, 0.802, 0.500)
B (0.223, 0.381, 0.199)
B (0.223, 0.381, 0.801)
B (0.277, 0.881, 0.199)
B (0.277, 0.881, 0.801)
B (0.366, 0.302, 0.500)
B (0.380, 0.458, 0.500)
B (0.442, 0.807, 0.500)
B (0.558, 0.193, 0.500)
B (0.620, 0.542, 0.500)
B (0.634, 0.698, 0.500)
B (0.723, 0.119, 0.199)
B (0.723, 0.119, 0.801)
B (0.777, 0.619, 0.199)
B (0.777, 0.619, 0.801)
B (0.866, 0.198, 0.500)
B (0.880, 0.042, 0.500)
B (0.942, 0.693, 0.500)
Ru (0.000, 0.500, 0.500)
Ru (0.500, 0.000, 0.500)

Peak list (10 most intense, 10° ≤ 2θ ≤ 90°, low angle first)
d_spacing	two_theta	intensity
4.161	21.35	17.5
4.015	22.14	73.5
3.221	27.70	20.6
2.889	30.95	100.0
2.350	38.31	48.9
2.341	38.46	52.6
2.081	43.50	18.5
2.007	45.17	31.5
1.847	49.33	27.6
1.445	64.51	17.4

Diffraction record for HoB4Ru4. The PXRD pattern is simulated, not measured: it uses a GGA-PBE-relaxed structure and copper Kα.

Lattice parameters (Å, degrees): 9.196 9.196 9.196 131.97 131.97 70.27
Positions (direct):
Ho (0.125, 0.375, 0.750)
Ho (0.375, 0.125, 0.250)
Ho (0.625, 0.875, 0.750)
Ho (0.875, 0.625, 0.250)
B (0.067, 0.125, 0.278)
B (0.125, 0.347, 0.058)
B (0.153, 0.375, 0.442)
B (0.212, 0.933, 0.558)
B (0.288, 0.847, 0.722)
B (0.347, 0.788, 0.222)
B (0.375, 0.433, 0.222)
B (0.433, 0.712, 0.058)
B (0.567, 0.288, 0.942)
B (0.625, 0.567, 0.778)
B (0.653, 0.212, 0.778)
B (0.712, 0.153, 0.278)
B (0.788, 0.067, 0.442)
B (0.847, 0.625, 0.558)
B (0.875, 0.653, 0.942)
B (0.933, 0.875, 0.722)
Ru (0.038, 0.822, 0.986)
Ru (0.052, 0.038, 0.717)
Ru (0.165, 0.678, 0.717)
Ru (0.178, 0.665, 0.217)
Ru (0.322, 0.538, 0.486)
Ru (0.335, 0.052, 0.514)
Ru (0.448, 0.165, 0.986)
Ru (0.462, 0.448, 0.783)
Ru (0.538, 0.552, 0.217)
Ru (0.552, 0.835, 0.014)
Ru (0.665, 0.948, 0.486)
Ru (0.678, 0.462, 0.514)
Ru (0.822, 0.335, 0.783)
Ru (0.835, 0.322, 0.283)
Ru (0.948, 0.962, 0.283)
Ru (0.962, 0.178, 0.014)

Peak list (10 most intense, 10° ≤ 2θ ≤ 90°, low angle first)
d_spacing	two_theta	intensity
3.742	23.78	11.8
2.784	32.15	58.3
2.651	33.82	29.5
2.266	39.79	42.8
2.258	39.93	100.0
2.237	40.31	35.5
1.674	54.83	13.4
1.443	64.60	12.9
1.441	64.70	13.5
1.326	71.08	25.0